Entry 1:
# NiBAuI
Simulated X-ray powder pattern, copper Kα. Input: a crystal structure in Alexandria, relaxed with GGA-PBE.
Kinematic intensities with the Lorentz-polarization factor, no thermal factor.

Cell and atoms:
Unit cell a=7.778 b=3.187 c=7.453 alpha=90.00 beta=112.29 gamma=90.00
Space group Cm (No. 8)
Inequivalent atoms, fractional coordinates:
Ni  0.000  0.000  0.000 [2 per cell]
B  0.449  0.000  0.118 [2 per cell]
Au  0.275  0.500  0.179 [2 per cell]
I  0.347  0.500  0.637 [2 per cell]

Top 6 peaks for 2θ from 10° to 90°, in order of rising 2θ:
two_theta  I_rel
12.84  44
24.74  45
25.84  60
28.25  31
30.68  100
43.64  45



Entry 2:
# LaTbBiSe
Simulated X-ray powder pattern, copper Kα. Input: a crystal structure in Alexandria, relaxed with GGA-PBE.
Kinematic intensities with the Lorentz-polarization factor, no thermal factor.

Cell and atoms:
Unit cell a=4.2850 b=4.2850 c=23.2510 alpha=90.00 beta=90.00 gamma=120.00
Space group R3m (No. 160, hexagonal axes)
Inequivalent atoms, fractional coordinates:
La  0.0000  0.0000  0.0000 [3 per cell]
Tb  0.0000  0.0000  0.1631 [3 per cell]
Bi  0.0000  0.0000  0.5764 [3 per cell]
Se  0.0000  0.0000  0.7546 [3 per cell]

Top 6 peaks for 2θ from 10° to 90°, in order of rising 2θ:
two_theta  I_rel
25.19  65
30.83  100
36.30  59
42.18  55
53.15  22
64.88  28



Entry 3:
# ZnTeW4
Simulated X-ray powder pattern, copper Kα. Input: a crystal structure in Alexandria, relaxed with GGA-PBE.
Kinematic intensities with the Lorentz-polarization factor, no thermal factor.

Cell and atoms:
Unit cell a=7.612 b=7.612 c=7.612 alpha=90.00 beta=90.00 gamma=90.00
Space group F-43m (No. 216)
Inequivalent atoms, fractional coordinates:
Zn  0.000  0.000  0.000 [4 per cell]
Te  0.250  0.250  0.250 [4 per cell]
W  0.127  0.127  0.627 [16 per cell]

Top 6 peaks for 2θ from 10° to 90°, in order of rising 2θ:
two_theta  I_rel
20.21  36
39.26  100
41.08  62
63.51  33
69.91  31
84.42  24